# 1
For BW3N5, a structure optimized by DFT (PBE) gives the simulated XRD peak list in this record (copper Kα).

Peak list (10 most intense, 2θ from 10° to 90°, in order of rising 2θ)
2θ (°)  I/Imax
16.3  98
33.0  71
34.2  61
35.2  72
35.4  100
37.4  51
37.6  68
39.0  48
44.6  53
44.9  63

Structural model:
Lattice parameters (Å, degrees): 5.547 2.995 10.899 90.00 94.51 90.00
Sites, in units of the cell vectors:
B  0.213  0.000  0.238
B  0.787  0.000  0.762
W  0.000  0.000  0.500
W  0.000  0.500  0.000
W  0.278  0.500  0.698
W  0.500  0.000  0.000
W  0.500  0.000  0.500
W  0.722  0.500  0.302
N  0.008  0.000  0.699
N  0.193  0.000  0.105
N  0.249  0.500  0.491
N  0.311  0.500  0.890
N  0.451  0.000  0.302
N  0.549  0.000  0.698
N  0.689  0.500  0.110
N  0.751  0.500  0.509
N  0.807  0.000  0.895
N  0.992  0.000  0.301

=====

# 2
For BW14N24, a structure optimized by DFT (PBE) gives the simulated XRD peak list in this record (copper Kα).

Peak list (10 most intense, 2θ from 10° to 90°, in order of rising 2θ)
2θ (°)  I/Imax
21.1  16
27.3  9
33.0  100
36.4  14
37.9  24
39.1  16
46.4  12
55.6  18
61.3  8
67.0  10

Structural model:
Lattice parameters (Å, degrees): 8.716 8.716 8.716 128.91 128.91 75.15
Sites, in units of the cell vectors:
B  0.000  0.000  0.000
W  0.048  0.899  0.642
W  0.101  0.743  0.149
W  0.181  0.513  0.694
W  0.257  0.406  0.358
W  0.327  0.327  0.000
W  0.406  0.048  0.149
W  0.487  0.181  0.668
W  0.513  0.819  0.332
W  0.594  0.952  0.851
W  0.673  0.673  0.000
W  0.743  0.594  0.642
W  0.819  0.487  0.306
W  0.899  0.257  0.851
W  0.952  0.101  0.358
N  0.001  0.157  0.667
N  0.026  0.229  0.255
N  0.113  0.613  0.500
N  0.157  0.490  0.156
N  0.229  0.974  0.203
N  0.247  0.249  0.673
N  0.249  0.576  0.002
N  0.335  0.001  0.844
N  0.387  0.887  0.500
N  0.424  0.426  0.673
N  0.426  0.753  0.002
N  0.490  0.335  0.333
N  0.510  0.665  0.667
N  0.574  0.247  0.998
N  0.576  0.574  0.327
N  0.613  0.113  0.500
N  0.665  0.999  0.156
N  0.751  0.424  0.998
N  0.753  0.751  0.327
N  0.771  0.026  0.797
N  0.843  0.510  0.844
N  0.887  0.387  0.500
N  0.974  0.771  0.745
N  0.999  0.843  0.333

=====

# 3
For B2W2N5, a structure optimized by DFT (PBE) gives the simulated XRD peak list in this record (copper Kα).

Peak list (10 most intense, 2θ from 10° to 90°, in order of rising 2θ)
2θ (°)  I/Imax
18.7  100
31.7  55
34.9  23
37.0  73
37.8  12
39.9  33
50.2  27
52.4  12
60.6  12
64.0  15

Structural model:
Lattice parameters (Å, degrees): 5.143 9.511 6.750 90.00 90.00 90.00
Sites, in units of the cell vectors:
B  0.089  0.250  0.069
B  0.115  0.250  0.639
B  0.385  0.750  0.139
B  0.411  0.750  0.569
B  0.589  0.250  0.431
B  0.615  0.250  0.861
B  0.885  0.750  0.361
B  0.911  0.750  0.931
W  0.237  0.025  0.852
W  0.237  0.475  0.852
W  0.263  0.525  0.352
W  0.263  0.975  0.352
W  0.737  0.025  0.648
W  0.737  0.475  0.648
W  0.763  0.525  0.148
W  0.763  0.975  0.148
N  0.091  0.107  0.143
N  0.091  0.393  0.143
N  0.105  0.110  0.563
N  0.105  0.390  0.563
N  0.127  0.250  0.857
N  0.373  0.750  0.357
N  0.395  0.610  0.063
N  0.395  0.890  0.063
N  0.409  0.607  0.643
N  0.409  0.893  0.643
N  0.591  0.107  0.357
N  0.591  0.393  0.357
N  0.605  0.110  0.937
N  0.605  0.390  0.937
N  0.627  0.250  0.643
N  0.873  0.750  0.143
N  0.895  0.610  0.437
N  0.895  0.890  0.437
N  0.909  0.607  0.857
N  0.909  0.893  0.857

=====

# 4
For BW3N5, a structure optimized by DFT (PBE) gives the simulated XRD peak list in this record (copper Kα).

Peak list (10 most intense, 2θ from 10° to 90°, in order of rising 2θ)
2θ (°)  I/Imax
16.8  89
18.5  51
23.1  37
34.1  52
35.6  67
38.3  100
42.1  41
47.0  53
47.3  49
61.6  37

Structural model:
Lattice parameters (Å, degrees): 9.608 12.591 2.967 90.00 90.00 90.00
Sites, in units of the cell vectors:
B  0.222  0.156  0.000
B  0.278  0.656  0.000
B  0.722  0.344  0.000
B  0.778  0.844  0.000
W  0.000  0.000  0.500
W  0.000  0.500  0.000
W  0.013  0.313  0.500
W  0.203  0.903  0.000
W  0.297  0.403  0.000
W  0.487  0.813  0.500
W  0.500  0.000  0.000
W  0.500  0.500  0.500
W  0.513  0.187  0.500
W  0.703  0.597  0.000
W  0.797  0.097  0.000
W  0.987  0.687  0.500
N  0.083  0.836  0.500
N  0.127  0.646  0.000
N  0.143  0.057  0.000
N  0.145  0.444  0.500
N  0.160  0.260  0.000
N  0.340  0.760  0.000
N  0.355  0.944  0.500
N  0.357  0.557  0.000
N  0.373  0.146  0.000
N  0.417  0.336  0.500
N  0.583  0.664  0.500
N  0.627  0.854  0.000
N  0.643  0.443  0.000
N  0.645  0.056  0.500
N  0.660  0.240  0.000
N  0.840  0.740  0.000
N  0.855  0.556  0.500
N  0.857  0.943  0.000
N  0.873  0.354  0.000
N  0.917  0.164  0.500

=====

Question: What is the formula in the fourth record?
Answer: BW3N5